Structure and computed X-ray diffraction stick pattern of Rb2SnI4Br2 (DFT lattice parameters and positions (PBE); CuKα).

Structure:
abc: 8.118 8.118 8.424
angles: 121.19 121.19 61.18
Fractional coordinates of all 9 atoms:
Rb (0.248, 0.248, 0.224)
Rb (0.752, 0.752, 0.776)
Sn (0.000, 0.000, 0.500)
I (0.217, 0.723, 0.710)
I (0.277, 0.783, 0.290)
I (0.723, 0.217, 0.710)
I (0.783, 0.277, 0.290)
Br (0.237, 0.237, 0.791)
Br (0.763, 0.763, 0.209)

Main lines, by angle (10 to 90 degrees two-theta):
2theta, Rel. int.
13.16, 22
26.17, 25
26.51, 68
26.85, 76
30.30, 100
32.07, 34
43.82, 20
44.70, 48
46.03, 20
51.95, 20